Diffraction record for CoNi5Pt. The PXRD pattern is computed, not measured: it uses a crystal structure in Alexandria, relaxed with GGA-PBE and Cu Kα X-rays.
Lines closer than 0.1° are merged.

Principal peaks in the range 10° ≤ 2θ ≤ 90°, by intensity:
- 2.063 Å, intensity 100.0
- 2.034 Å, intensity 95.7
- 1.774 Å, intensity 92.0
- 3.173 Å, intensity 70.8
- 4.067 Å, intensity 69.7
- 1.254 Å, intensity 36.7
- 2.153 Å, intensity 26.1
- 1.967 Å, intensity 18.7
- 2.134 Å, intensity 12.7
- 1.633 Å, intensity 11.2

Atomic structure:
a b c (Å): 4.3275 4.3275 5.0743
angles (deg): 90.00 90.00 109.98
Atoms (fractional coordinates):
Co 0.0000 0.0000 0.0000
Ni 0.0000 0.5000 0.2453
Ni 0.0000 0.5000 0.7547
Ni 0.5000 0.0000 0.2453
Ni 0.5000 0.0000 0.7547
Ni 0.5000 0.5000 0.0000
Pt 0.5000 0.5000 0.5000